Entry 1:
Structure and theoretical powder X-ray diffraction pattern of PuBr3F (a GGA-PBE-relaxed structure; λ = 1.5418 Å (Cu Kα)).
Intensities are scaled so that the largest is 100.

Peak list (8 most intense, 2θ = 10–90°, by angle)
2θ (°)	I/Imax
11.72	55
13.11	100
13.98	46
16.90	38
19.58	25
26.90	20
28.20	21
32.27	20

Structure:
abc: 7.3946 7.9369 8.1433
angles: 108.53 93.10 113.58
Element x y z (fractional)
Pu  0.0000  0.0000  0.0000
Pu  0.4689  0.0258  0.7921
Br  0.1019  0.7011  0.7798
Br  0.1783  0.1746  0.7559
Br  0.4197  0.1580  0.1487
Br  0.4311  0.8562  0.4448
Br  0.8701  0.7976  0.2076
Br  0.9954  0.3247  0.2246
F  0.6897  0.9114  0.8556
F  0.7015  0.2817  0.8101



Entry 2:
Structure and theoretical powder X-ray diffraction pattern of HfTiMoPd (a GGA-PBE-relaxed structure; λ = 1.5418 Å (Cu Kα)).
Intensities are scaled so that the largest is 100.

Peak list (8 most intense, 2θ = 10–90°, by angle)
2θ (°)	I/Imax
13.76	22
30.75	22
39.08	52
39.35	100
56.45	17
70.98	34
71.53	16
84.66	10

Structure:
abc: 3.2600 3.2600 6.4334
angles: 90.00 90.00 90.00
Element x y z (fractional)
Hf  0.0000  0.0000  0.0000
Ti  0.0000  0.0000  0.5237
Mo  0.5000  0.5000  0.7439
Pd  0.5000  0.5000  0.2640



Entry 3:
Structure and theoretical powder X-ray diffraction pattern of Ba2Pa2Se5 (a GGA-PBE-relaxed structure; λ = 1.5418 Å (Cu Kα)).
Intensities are scaled so that the largest is 100.

Peak list (8 most intense, 2θ = 10–90°, by angle)
2θ (°)	I/Imax
18.84	47
20.76	80
23.94	65
29.25	87
31.72	100
35.26	69
38.20	55
43.69	59

Structure:
abc: 7.9318 7.9318 8.5581
angles: 122.00 122.00 41.66
Element x y z (fractional)
Ba  0.1202  0.1202  0.4598
Ba  0.8798  0.8798  0.5402
Pa  0.3787  0.3787  0.0904
Pa  0.6213  0.6213  0.9096
Se  0.1400  0.1400  0.8884
Se  0.3812  0.3812  0.7580
Se  0.5000  0.5000  0.5000
Se  0.6188  0.6188  0.2420
Se  0.8600  0.8600  0.1116



Entry 4:
Structure and theoretical powder X-ray diffraction pattern of TbDy7Ho2 (a GGA-PBE-relaxed structure; λ = 1.5418 Å (Cu Kα)).
Intensities are scaled so that the largest is 100.

Peak list (8 most intense, 2θ = 10–90°, by angle)
2θ (°)	I/Imax
31.00	100
35.95	51
51.74	30
61.53	29
61.64	14
64.57	6
84.49	10
87.21	8

Structure:
abc: 6.1129 6.1264 9.3378
angles: 102.63 108.98 99.64
Element x y z (fractional)
Tb  0.0000  0.0000  0.0000
Dy  0.0000  0.5000  0.5000
Dy  0.2001  0.4997  0.8998
Dy  0.3997  0.9996  0.7994
Dy  0.3999  0.5004  0.3004
Dy  0.6003  0.0004  0.2006
Dy  0.6001  0.4996  0.6996
Dy  0.7999  0.5003  0.1002
Ho  0.2002  0.0002  0.4003
Ho  0.7998  0.9998  0.5997



Entry 5:
Structure and theoretical powder X-ray diffraction pattern of Ca2CdPd5Pb2 (a GGA-PBE-relaxed structure; λ = 1.5418 Å (Cu Kα)).
Intensities are scaled so that the largest is 100.

Peak list (8 most intense, 2θ = 10–90°, by angle)
2θ (°)	I/Imax
18.64	46
33.60	13
35.73	100
38.69	23
41.50	24
48.12	15
58.11	15
72.05	12

Structure:
abc: 10.6427 10.6427 3.7822
angles: 90.00 90.00 90.00
Element x y z (fractional)
Ca  0.1662  0.3338  0.0000
Ca  0.3338  0.8338  0.0000
Ca  0.6662  0.1662  0.0000
Ca  0.8338  0.6662  0.0000
Cd  0.0000  0.0000  0.0000
Cd  0.5000  0.5000  0.0000
Pd  0.0000  0.5000  0.5000
Pd  0.0387  0.8057  0.5000
Pd  0.1943  0.0387  0.5000
Pd  0.3057  0.5387  0.5000
Pd  0.4613  0.3057  0.5000
Pd  0.5000  0.0000  0.5000
Pd  0.5387  0.6943  0.5000
Pd  0.6943  0.4613  0.5000
Pd  0.8057  0.9613  0.5000
Pd  0.9613  0.1943  0.5000
Pb  0.1353  0.6353  0.0000
Pb  0.3647  0.1353  0.0000
Pb  0.6353  0.8647  0.0000
Pb  0.8647  0.3647  0.0000



Entry 6:
Structure and theoretical powder X-ray diffraction pattern of Zr4Sc5 (a GGA-PBE-relaxed structure; λ = 1.5418 Å (Cu Kα)).
Intensities are scaled so that the largest is 100.

Peak list (8 most intense, 2θ = 10–90°, by angle)
2θ (°)	I/Imax
24.73	23
34.80	92
35.70	100
45.90	14
50.71	30
63.56	29
64.14	16
69.68	25

Structure:
abc: 8.7112 8.7112 6.3972
angles: 90.00 90.00 120.00
Element x y z (fractional)
Zr  0.0000  0.0000  0.0000
Zr  0.0000  0.0000  0.5000
Zr  0.0000  0.3287  0.2500
Zr  0.0000  0.6713  0.7500
Zr  0.3287  0.0000  0.2500
Zr  0.3287  0.3287  0.7500
Zr  0.6713  0.0000  0.7500
Zr  0.6713  0.6713  0.2500
Sc  0.0000  0.3335  0.7500
Sc  0.0000  0.6665  0.2500
Sc  0.3333  0.6667  0.0000
Sc  0.3333  0.6667  0.5000
Sc  0.3335  0.0000  0.7500
Sc  0.3335  0.3335  0.2500
Sc  0.6665  0.0000  0.2500
Sc  0.6665  0.6665  0.7500
Sc  0.6667  0.3333  0.0000
Sc  0.6667  0.3333  0.5000



Entry 7:
Structure and theoretical powder X-ray diffraction pattern of HoUCS (a GGA-PBE-relaxed structure; λ = 1.5418 Å (Cu Kα)).
Intensities are scaled so that the largest is 100.

Peak list (8 most intense, 2θ = 10–90°, by angle)
2θ (°)	I/Imax
28.33	30
29.80	94
34.12	100
48.08	31
49.96	36
58.43	26
61.89	18
83.43	16

Structure:
abc: 6.6430 6.6430 6.6430
angles: 31.90 31.90 31.90
Element x y z (fractional)
Ho  0.0000  0.0000  0.0000
U  0.5217  0.5217  0.5217
C  0.2544  0.2544  0.2544
S  0.7598  0.7598  0.7598



Entry 8:
Structure and theoretical powder X-ray diffraction pattern of Cr4SiAg (a GGA-PBE-relaxed structure; λ = 1.5418 Å (Cu Kα)).
Intensities are scaled so that the largest is 100.

Peak list (8 most intense, 2θ = 10–90°, by angle)
2θ (°)	I/Imax
22.66	16
26.22	15
37.43	35
44.20	100
46.27	33
67.52	12
72.23	28
79.83	21

Structure:
abc: 4.8058 4.8058 4.8058
angles: 60.00 60.00 60.00
Element x y z (fractional)
Cr  0.1243  0.1243  0.1243
Cr  0.1243  0.1243  0.6272
Cr  0.1243  0.6272  0.1243
Cr  0.6272  0.1243  0.1243
Si  0.5000  0.5000  0.5000
Ag  0.7500  0.7500  0.7500



Entry 9:
Structure and theoretical powder X-ray diffraction pattern of TbTm3Ga2 (a GGA-PBE-relaxed structure; λ = 1.5418 Å (Cu Kα)).
Intensities are scaled so that the largest is 100.

Peak list (8 most intense, 2θ = 10–90°, by angle)
2θ (°)	I/Imax
28.28	31
31.20	23
32.07	90
33.72	100
35.69	78
48.72	16
62.72	14
62.90	17

Structure:
abc: 8.2778 8.2778 8.7767
angles: 116.48 116.48 35.36
Element x y z (fractional)
Tb  0.1304  0.1304  0.1883
Tb  0.8696  0.8696  0.8117
Tm  0.0622  0.0622  0.7172
Tm  0.3127  0.3127  0.0103
Tm  0.3797  0.3797  0.4871
Tm  0.6203  0.6203  0.5129
Tm  0.6872  0.6872  0.9897
Tm  0.9378  0.9378  0.2828
Ga  0.2267  0.2267  0.6148
Ga  0.4843  0.4843  0.8475
Ga  0.5157  0.5157  0.1525
Ga  0.7733  0.7733  0.3852



Entry 10:
Structure and theoretical powder X-ray diffraction pattern of Ba6NaHN (a GGA-PBE-relaxed structure; λ = 1.5418 Å (Cu Kα)).
Intensities are scaled so that the largest is 100.

Peak list (8 most intense, 2θ = 10–90°, by angle)
2θ (°)	I/Imax
22.89	18
23.53	26
25.78	100
33.06	29
37.30	22
40.20	15
42.78	23
50.36	14

Structure:
abc: 7.7702 7.7702 7.5621
angles: 90.00 90.00 120.00
Element x y z (fractional)
Ba  0.0607  0.3577  0.2148
Ba  0.0607  0.7030  0.7852
Ba  0.2970  0.3577  0.7852
Ba  0.2970  0.9393  0.2148
Ba  0.6423  0.7030  0.2148
Ba  0.6423  0.9393  0.7852
Na  0.6667  0.3333  0.5000
H  0.0000  0.0000  0.0000
N  0.3333  0.6667  0.0000



Entry 11:
Structure and theoretical powder X-ray diffraction pattern of TiTlF4 (a GGA-PBE-relaxed structure; λ = 1.5418 Å (Cu Kα)).
Intensities are scaled so that the largest is 100.

Peak list (8 most intense, 2θ = 10–90°, by angle)
2θ (°)	I/Imax
16.79	27
23.83	100
29.30	13
38.16	17
41.84	13
41.95	27
48.74	13
66.29	16

Structure:
abc: 7.4546 7.4546 5.2971
angles: 90.00 90.00 90.00
Element x y z (fractional)
Ti  0.2500  0.7500  0.0000
Ti  0.7500  0.2500  0.0000
Tl  0.2500  0.2500  0.4778
Tl  0.7500  0.7500  0.5222
F  0.0511  0.7500  0.7831
F  0.2500  0.5511  0.2169
F  0.2500  0.9489  0.2169
F  0.4489  0.7500  0.7831
F  0.5511  0.2500  0.2169
F  0.7500  0.0511  0.7831
F  0.7500  0.4489  0.7831
F  0.9489  0.2500  0.2169



Which formula does entry 2 have? HfTiMoPd